No. 1
For BaIr2IF, a PBE-relaxed structure gives the theoretical X-ray diffraction stick pattern in this record (CuKα).

Top 10 peaks for 15° ≤ 2θ ≤ 90°, in order of rising 2θ:
- 16.07 deg, I 61
- 26.63 deg, I 100
- 27.33 deg, I 66
- 31.86 deg, I 23
- 32.47 deg, I 84
- 35.33 deg, I 42
- 42.94 deg, I 78
- 46.57 deg, I 31
- 54.45 deg, I 28
- 54.84 deg, I 38

Structural model:
Lattice parameters (Å, degrees): 5.5156 5.5156 6.5266 90.00 90.00 90.00
Space group P4/mmm (No. 123)
Asymmetric unit:
Ba (0.0000, 0.0000, 0.0000)
Ir (0.0000, 0.5000, 0.0000)
I (0.0000, 0.0000, 0.5000)
F (0.5000, 0.5000, 0.5000)


No. 2
For BaIO4F, a PBE-relaxed structure gives the theoretical X-ray diffraction stick pattern in this record (CuKα).

Top 10 peaks for 15° ≤ 2θ ≤ 90°, in order of rising 2θ:
- 17.89 deg, I 36
- 19.01 deg, I 30
- 20.94 deg, I 100
- 23.35 deg, I 24
- 23.52 deg, I 49
- 25.34 deg, I 57
- 28.88 deg, I 27
- 31.69 deg, I 28
- 39.49 deg, I 25
- 40.03 deg, I 22

Structural model:
Lattice parameters (Å, degrees): 10.1827 8.4865 7.8236 90.00 103.12 90.00
Space group C2/m (No. 12)
Asymmetric unit:
Ba (0.1933, 0.0000, 0.1414)
I (0.1512, 0.5000, 0.2697)
O (0.0225, 0.5000, 0.7197)
O (0.1819, 0.3314, 0.1446)
O (0.2424, 0.0000, 0.5142)
F (0.0462, 0.0000, 0.8390)